Calculated XRD peak list of BTeN for Cu Kα (λ = 1.5418 Å), from a structure optimized by DFT (GGA-PBE).

Atomic structure:
```
data_BTeN
_chemical_formula_sum 'B2 Te2 N2'
_cell_length_a 9.5171
_cell_length_b 9.3319
_cell_length_c 4.1620
_cell_angle_alpha 79.74
_cell_angle_beta 74.77
_cell_angle_gamma 25.49
_symmetry_space_group_name_H-M 'P 1'
_symmetry_Int_Tables_number 1
_symmetry_space_group_name_Hall 'P 1'
loop_
_atom_site_label
_atom_site_fract_x
_atom_site_fract_y
_atom_site_fract_z
_atom_site_occupancy
B1 0.2495 0.7505 0.2495 1
B2 0.7505 0.2495 0.7505 1
Te1 0.2200 0.2200 0.7800 1
Te2 0.7800 0.7800 0.2200 1
N1 0.0000 0.0000 0.5000 1
N2 0.5000 0.5000 0.0000 1
```

Main lines, in order of falling intensity (2θ = 15–90°):
| 2θ/deg | intensity |
| --- | --- |
| 29.43 | 100 |
| 19.83 | 94 |
| 33.30 | 76 |
| 26.48 | 60 |
| 41.68 | 58 |
| 35.58 | 46 |

=====

Calculated XRD peak list of Ti4B2N3 for Cu Kα (λ = 1.5418 Å), from a structure optimized by DFT (GGA-PBE).

Atomic structure:
```
data_Ti4B2N3
_chemical_formula_sum 'Ti4 B2 N3'
_cell_length_a 12.8200
_cell_length_b 12.8200
_cell_length_c 12.8200
_cell_angle_alpha 13.68
_cell_angle_beta 13.68
_cell_angle_gamma 13.68
_symmetry_space_group_name_H-M 'P 1'
_symmetry_Int_Tables_number 1
_symmetry_space_group_name_Hall 'P 1'
loop_
_atom_site_label
_atom_site_fract_x
_atom_site_fract_y
_atom_site_fract_z
_atom_site_occupancy
Ti1 0.0000 0.0000 0.0000 1
Ti2 0.2002 0.2002 0.2002 1
Ti3 0.4021 0.4021 0.4021 1
Ti4 0.6028 0.6028 0.6028 1
B1 0.1066 0.1066 0.1066 1
B2 0.7025 0.7025 0.7025 1
N1 0.3009 0.3009 0.3009 1
N2 0.5128 0.5128 0.5128 1
N3 0.9058 0.9058 0.9058 1
```

Main lines, in order of falling intensity (2θ = 15–90°):
| 2θ/deg | intensity |
| --- | --- |
| 41.57 | 100 |
| 35.94 | 49 |
| 60.64 | 29 |
| 59.84 | 27 |
| 35.34 | 19 |
| 20.99 | 16 |

=====

Please write out number 1 again, unchanged.
Calculated XRD peak list of BTeN for Cu Kα (λ = 1.5418 Å), from a structure optimized by DFT (GGA-PBE).

Atomic structure:
```
data_BTeN
_chemical_formula_sum 'B2 Te2 N2'
_cell_length_a 9.5171
_cell_length_b 9.3319
_cell_length_c 4.1620
_cell_angle_alpha 79.74
_cell_angle_beta 74.77
_cell_angle_gamma 25.49
_symmetry_space_group_name_H-M 'P 1'
_symmetry_Int_Tables_number 1
_symmetry_space_group_name_Hall 'P 1'
loop_
_atom_site_label
_atom_site_fract_x
_atom_site_fract_y
_atom_site_fract_z
_atom_site_occupancy
B1 0.2495 0.7505 0.2495 1
B2 0.7505 0.2495 0.7505 1
Te1 0.2200 0.2200 0.7800 1
Te2 0.7800 0.7800 0.2200 1
N1 0.0000 0.0000 0.5000 1
N2 0.5000 0.5000 0.0000 1
```

Main lines, in order of falling intensity (2θ = 15–90°):
| 2θ/deg | intensity |
| --- | --- |
| 29.43 | 100 |
| 19.83 | 94 |
| 33.30 | 76 |
| 26.48 | 60 |
| 41.68 | 58 |
| 35.58 | 46 |

=====

Repeat the first record exactly.
Calculated XRD peak list of BTeN for Cu Kα (λ = 1.5418 Å), from a structure optimized by DFT (GGA-PBE).

Atomic structure:
```
data_BTeN
_chemical_formula_sum 'B2 Te2 N2'
_cell_length_a 9.5171
_cell_length_b 9.3319
_cell_length_c 4.1620
_cell_angle_alpha 79.74
_cell_angle_beta 74.77
_cell_angle_gamma 25.49
_symmetry_space_group_name_H-M 'P 1'
_symmetry_Int_Tables_number 1
_symmetry_space_group_name_Hall 'P 1'
loop_
_atom_site_label
_atom_site_fract_x
_atom_site_fract_y
_atom_site_fract_z
_atom_site_occupancy
B1 0.2495 0.7505 0.2495 1
B2 0.7505 0.2495 0.7505 1
Te1 0.2200 0.2200 0.7800 1
Te2 0.7800 0.7800 0.2200 1
N1 0.0000 0.0000 0.5000 1
N2 0.5000 0.5000 0.0000 1
```

Main lines, in order of falling intensity (2θ = 15–90°):
| 2θ/deg | intensity |
| --- | --- |
| 29.43 | 100 |
| 19.83 | 94 |
| 33.30 | 76 |
| 26.48 | 60 |
| 41.68 | 58 |
| 35.58 | 46 |